(1)
Theoretical XRD peak list of ZnS for a wavelength of 1.5418 Å, from DFT lattice parameters and positions (GGA-PBE).

Cell and atoms:
Cell: 3.8525 3.8525 88.1829 Å, 90.00 90.00 120.00°
Space group P3m1 (No. 156)
Asymmetric unit:
1 Zn 0.0000 0.0000 0.0000 (multiplicity 1)
2 Zn 0.0000 0.0000 0.0714 (multiplicity 1)
3 Zn 0.0000 0.0000 0.1786 (multiplicity 1)
4 Zn 0.0000 0.0000 0.2500 (multiplicity 1)
5 Zn 0.0000 0.0000 0.3572 (multiplicity 1)
6 Zn 0.0000 0.0000 0.4643 (multiplicity 1)
7 Zn 0.0000 0.0000 0.6071 (multiplicity 1)
8 Zn 0.0000 0.0000 0.7143 (multiplicity 1)
9 Zn 0.0000 0.0000 0.8214 (multiplicity 1)
10 Zn 0.0000 0.0000 0.8929 (multiplicity 1)
11 Zn 0.3333 0.6667 0.1071 (multiplicity 1)
12 Zn 0.3333 0.6667 0.2143 (multiplicity 1)
13 Zn 0.3333 0.6667 0.3214 (multiplicity 1)
14 Zn 0.3333 0.6667 0.4286 (multiplicity 1)
15 Zn 0.3333 0.6667 0.5357 (multiplicity 1)
16 Zn 0.3333 0.6667 0.6429 (multiplicity 1)
17 Zn 0.3333 0.6667 0.7500 (multiplicity 1)
18 Zn 0.3333 0.6667 0.8571 (multiplicity 1)
19 Zn 0.3333 0.6667 0.9643 (multiplicity 1)
20 Zn 0.6667 0.3333 0.0357 (multiplicity 1)
21 Zn 0.6667 0.3333 0.1429 (multiplicity 1)
22 Zn 0.6667 0.3333 0.2857 (multiplicity 1)
23 Zn 0.6667 0.3333 0.3929 (multiplicity 1)
24 Zn 0.6667 0.3333 0.5000 (multiplicity 1)
25 Zn 0.6667 0.3333 0.5714 (multiplicity 1)
26 Zn 0.6667 0.3333 0.6786 (multiplicity 1)
27 Zn 0.6667 0.3333 0.7857 (multiplicity 1)
28 Zn 0.6667 0.3333 0.9286 (multiplicity 1)
29 S 0.0000 0.0000 0.0268 (multiplicity 1)
30 S 0.0000 0.0000 0.0982 (multiplicity 1)
31 S 0.0000 0.0000 0.2053 (multiplicity 1)
32 S 0.0000 0.0000 0.2768 (multiplicity 1)
33 S 0.0000 0.0000 0.3839 (multiplicity 1)
34 S 0.0000 0.0000 0.4911 (multiplicity 1)
35 S 0.0000 0.0000 0.6339 (multiplicity 1)
36 S 0.0000 0.0000 0.7411 (multiplicity 1)
37 S 0.0000 0.0000 0.8482 (multiplicity 1)
38 S 0.0000 0.0000 0.9196 (multiplicity 1)
39 S 0.3333 0.6667 0.1339 (multiplicity 1)
40 S 0.3333 0.6667 0.2411 (multiplicity 1)
41 S 0.3333 0.6667 0.3482 (multiplicity 1)
42 S 0.3333 0.6667 0.4553 (multiplicity 1)
43 S 0.3333 0.6667 0.5625 (multiplicity 1)
44 S 0.3333 0.6667 0.6696 (multiplicity 1)
45 S 0.3333 0.6667 0.7768 (multiplicity 1)
46 S 0.3333 0.6667 0.8839 (multiplicity 1)
47 S 0.3333 0.6667 0.9911 (multiplicity 1)
48 S 0.6667 0.3333 0.0625 (multiplicity 1)
49 S 0.6667 0.3333 0.1696 (multiplicity 1)
50 S 0.6667 0.3333 0.3125 (multiplicity 1)
51 S 0.6667 0.3333 0.4196 (multiplicity 1)
52 S 0.6667 0.3333 0.5268 (multiplicity 1)
53 S 0.6667 0.3333 0.5982 (multiplicity 1)
54 S 0.6667 0.3333 0.7053 (multiplicity 1)
55 S 0.6667 0.3333 0.8125 (multiplicity 1)
56 S 0.6667 0.3333 0.9553 (multiplicity 1)

Most intense lines, 2θ from 10° to 80°, sorted by position:
(1 0 8), 27.9 deg, 3.193 Å, intensity 27
(0 0 28), 28.3 deg, 3.154 Å, intensity 100
(1 0 10), 28.6 deg, 3.120 Å, intensity 12
(1 0 11), 29.0 deg, 3.080 Å, intensity 33
(1 0 36), 46.0 deg, 1.974 Å, intensity 10
(1 0 37), 46.8 deg, 1.939 Å, intensity 20
(1 1 0), 47.2 deg, 1.926 Å, intensity 60
(1 0 39), 48.6 deg, 1.872 Å, intensity 16
(1 1 28), 56.0 deg, 1.643 Å, intensity 47
(1 0 47), 56.3 deg, 1.634 Å, intensity 11



(2)
Theoretical XRD peak list of ZnS for a wavelength of 1.5418 Å, from DFT lattice parameters and positions (GGA-PBE).

Cell and atoms:
Cell: 3.8592 3.8592 66.1352 Å, 90.00 90.00 120.00°
Space group R3m (No. 160, hexagonal axes)
Asymmetric unit:
1 Zn 0.0000 0.0000 0.0000 (multiplicity 3)
2 Zn 0.0000 0.0000 0.0953 (multiplicity 3)
3 Zn 0.0000 0.0000 0.1905 (multiplicity 3)
4 Zn 0.0000 0.0000 0.2857 (multiplicity 3)
5 Zn 0.0000 0.0000 0.5714 (multiplicity 3)
6 Zn 0.0000 0.0000 0.7143 (multiplicity 3)
7 Zn 0.0000 0.0000 0.8095 (multiplicity 3)
8 S 0.0000 0.0000 0.0357 (multiplicity 3)
9 S 0.0000 0.0000 0.1309 (multiplicity 3)
10 S 0.0000 0.0000 0.2262 (multiplicity 3)
11 S 0.0000 0.0000 0.3214 (multiplicity 3)
12 S 0.0000 0.0000 0.6072 (multiplicity 3)
13 S 0.0000 0.0000 0.7500 (multiplicity 3)
14 S 0.0000 0.0000 0.8453 (multiplicity 3)

Most intense lines, 2θ from 10° to 80°, sorted by position:
(0 1 2), 26.8 deg, 3.325 Å, intensity 39
(1 0 4), 27.2 deg, 3.276 Å, intensity 34
(0 0 21), 28.3 deg, 3.150 Å, intensity 100
(0 1 8), 28.8 deg, 3.099 Å, intensity 24
(1 0 10), 30.0 deg, 2.983 Å, intensity 44
(0 1 11), 30.6 deg, 2.921 Å, intensity 32
(1 1 0), 47.1 deg, 1.930 Å, intensity 98
(1 0 31), 50.8 deg, 1.798 Å, intensity 29
(0 1 32), 52.0 deg, 1.758 Å, intensity 25
(1 1 21), 55.9 deg, 1.645 Å, intensity 65



> What is the formula in the first record?

ZnS